[1]
Tm4BiC: theoretical XRD peak list (Cu Kα X-rays), based on a cell relaxed with GGA-PBE.
Neutral-atom scattering factors, no anomalous dispersion.

Peak list (12 most intense, 2θ from 10° to 90°, in order of falling intensity)
2θ 32.7, rel. 100
2θ 46.9, rel. 56
2θ 36.3, rel. 56
2θ 32.8, rel. 46
2θ 29.2, rel. 37
2θ 41.3, rel. 36
2θ 27.2, rel. 30
2θ 27.7, rel. 26
2θ 16.2, rel. 24
2θ 33.9, rel. 23
2θ 67.7, rel. 20
2θ 49.3, rel. 19

Atomic structure:
a b c (Å): 8.1859 10.9365 3.6941
angles (deg): 90.00 90.00 90.00
Space group Cmmm (No. 65)
Asymmetric unit:
1 Tm 0.0000 0.2180 0.0000 (multiplicity 4)
2 Tm 0.1970 0.0000 0.5000 (multiplicity 4)
3 Bi 0.0000 0.5000 0.0000 (multiplicity 2)
4 C 0.0000 0.0000 0.0000 (multiplicity 2)

[2]
Tm5Bi4C: theoretical XRD peak list (Cu Kα X-rays), based on a cell relaxed with GGA-PBE.
Neutral-atom scattering factors, no anomalous dispersion.

Peak list (12 most intense, 2θ from 10° to 90°, in order of falling intensity)
2θ 29.8, rel. 100
2θ 42.0, rel. 79
2θ 28.9, rel. 62
2θ 31.8, rel. 36
2θ 37.2, rel. 33
2θ 52.4, rel. 25
2θ 42.7, rel. 24
2θ 64.8, rel. 20
2θ 61.4, rel. 20
2θ 68.3, rel. 17
2θ 25.5, rel. 11
2θ 56.8, rel. 11

Atomic structure:
a b c (Å): 9.4671 9.4671 6.1847
angles (deg): 90.00 90.00 90.00
Space group I4 (No. 79)
Asymmetric unit:
1 Tm 0.0000 0.0000 0.0000 (multiplicity 2)
2 Tm 0.0944 0.7575 0.5706 (multiplicity 8)
3 Bi 0.0804 0.6864 0.0743 (multiplicity 8)
4 C 0.0000 0.0000 0.6177 (multiplicity 2)

[3]
Tm5Bi5C: theoretical XRD peak list (Cu Kα X-rays), based on a cell relaxed with GGA-PBE.
Neutral-atom scattering factors, no anomalous dispersion.

Peak list (12 most intense, 2θ from 10° to 90°, in order of falling intensity)
2θ 29.8, rel. 100
2θ 33.4, rel. 75
2θ 33.8, rel. 54
2θ 29.0, rel. 52
2θ 42.1, rel. 39
2θ 31.9, rel. 34
2θ 44.3, rel. 31
2θ 28.0, rel. 25
2θ 34.3, rel. 21
2θ 41.4, rel. 19
2θ 55.2, rel. 18
2θ 21.7, rel. 18

Atomic structure:
a b c (Å): 12.8151 5.9921 9.1081
angles (deg): 90.00 116.08 90.00
Space group C2/m (No. 12)
Asymmetric unit:
1 Tm 0.0000 0.0000 0.0000 (multiplicity 2)
2 Tm 0.1456 0.5000 0.8996 (multiplicity 4)
3 Tm 0.1495 0.5000 0.2746 (multiplicity 4)
4 Bi 0.0000 0.5000 0.5000 (multiplicity 2)
5 Bi 0.1143 0.0000 0.7617 (multiplicity 4)
6 Bi 0.2143 0.0000 0.3363 (multiplicity 4)
7 C 0.0000 0.5000 0.0000 (multiplicity 2)

[4]
TmBiC: theoretical XRD peak list (Cu Kα X-rays), based on a cell relaxed with GGA-PBE.
Neutral-atom scattering factors, no anomalous dispersion.

Peak list (12 most intense, 2θ from 10° to 90°, in order of falling intensity)
2θ 30.2, rel. 100
2θ 33.7, rel. 74
2θ 34.7, rel. 62
2θ 10.5, rel. 41
2θ 55.2, rel. 36
2θ 57.2, rel. 33
2θ 41.6, rel. 22
2θ 21.1, rel. 19
2θ 32.0, rel. 19
2θ 37.1, rel. 19
2θ 44.8, rel. 19
2θ 87.8, rel. 18

Atomic structure:
a b c (Å): 4.0436 4.3468 16.8365
angles (deg): 90.00 90.00 90.00
Space group Immm (No. 71)
Asymmetric unit:
1 Tm 0.0000 0.0000 0.1084 (multiplicity 4)
2 Bi 0.0000 0.0000 0.3103 (multiplicity 4)
3 C 0.0000 0.3549 0.0000 (multiplicity 4)

Repeat the first record exactly.
Tm4BiC: theoretical XRD peak list (Cu Kα X-rays), based on a cell relaxed with GGA-PBE.
Neutral-atom scattering factors, no anomalous dispersion.

Peak list (12 most intense, 2θ from 10° to 90°, in order of falling intensity)
2θ 32.7, rel. 100
2θ 46.9, rel. 56
2θ 36.3, rel. 56
2θ 32.8, rel. 46
2θ 29.2, rel. 37
2θ 41.3, rel. 36
2θ 27.2, rel. 30
2θ 27.7, rel. 26
2θ 16.2, rel. 24
2θ 33.9, rel. 23
2θ 67.7, rel. 20
2θ 49.3, rel. 19

Atomic structure:
a b c (Å): 8.1859 10.9365 3.6941
angles (deg): 90.00 90.00 90.00
Space group Cmmm (No. 65)
Asymmetric unit:
1 Tm 0.0000 0.2180 0.0000 (multiplicity 4)
2 Tm 0.1970 0.0000 0.5000 (multiplicity 4)
3 Bi 0.0000 0.5000 0.0000 (multiplicity 2)
4 C 0.0000 0.0000 0.0000 (multiplicity 2)